This entry pairs a crystal structure of Re2Tc3Os4 with its calculated powder diffraction line list. Radiation: Cu Kα X-rays. Structure: DFT lattice parameters and positions (GGA-PBE).

Structure:
```
Re2Tc3Os4
1.0
6.7025 -2.2648 0.0000
6.7025 2.2648 0.0000
-4.3228 0.0000 9.1152
Re Tc Os
4 6 8
direct
0.1191 0.2237 0.0142
0.2237 0.1191 0.5142
0.7763 0.8809 0.4858
0.8809 0.7763 0.9858
0.0357 0.9643 0.7500
0.3718 0.3932 0.1721
0.3932 0.3718 0.6721
0.6068 0.6282 0.3279
0.6282 0.6068 0.8279
0.9643 0.0357 0.2500
0.2069 0.2699 0.3085
0.2318 0.6876 0.4370
0.2699 0.2069 0.8085
0.3124 0.7682 0.0630
0.6876 0.2318 0.9370
0.7301 0.7931 0.1915
0.7682 0.3124 0.5630
0.7931 0.7301 0.6915
```

Most intense lines, 10° ≤ 2θ ≤ 80°, by angle:
| 2θ/deg | I_rel |
| --- | --- |
| 33.6 | 546 |
| 39.2 | 398 |
| 39.5 | 490 |
| 40.4 | 602 |
| 40.8 | 997 |
| 41.3 | 1000 |
| 42.1 | 572 |
| 42.3 | 740 |
| 42.6 | 664 |
| 45.5 | 356 |
| 46.0 | 315 |
| 49.1 | 438 |